Diffraction record for Zn5B3Ir7. The powder XRD pattern is computed, not measured: it uses a DFT-relaxed cell (PBE, Alexandria) and copper Kα.
No peak broadening, texture or thermal motion is included.

Largest 6 diffraction maxima, by angle, 15 to 90 degrees two-theta:
2θ (°)	intensity
31.22	71
39.24	100
40.49	95
43.22	69
44.02	55
46.13	73

Atomic structure:
```
30
Lattice="11.104 0.000 0.000 0.000 2.865 0.000 0.000 0.000 12.261" Properties=species:S:1:pos:R:3 pbc="T T T"
Zn 0.537 0.000 1.831
Zn 1.196 0.000 4.303
Zn 2.776 0.000 0.799
Zn 4.356 0.000 4.303
Zn 5.015 0.000 1.831
Zn 6.089 0.000 10.431
Zn 6.748 0.000 7.958
Zn 8.328 0.000 11.462
Zn 9.907 0.000 7.958
Zn 10.567 0.000 10.431
B 1.403 0.000 7.197
B 2.776 0.000 10.453
B 4.149 0.000 7.197
B 6.955 0.000 5.064
B 8.328 0.000 1.808
B 9.701 0.000 5.064
Ir 0.000 1.433 6.131
Ir 1.260 1.433 8.756
Ir 1.354 1.433 11.465
Ir 2.776 1.433 2.884
Ir 2.776 1.433 6.238
Ir 4.198 1.433 11.465
Ir 4.291 1.433 8.756
Ir 5.552 1.433 6.131
Ir 6.812 1.433 3.505
Ir 6.905 1.433 0.797
Ir 8.328 1.433 6.023
Ir 8.328 1.433 9.377
Ir 9.750 1.433 0.797
Ir 9.843 1.433 3.505
```

***

Diffraction record for TlAgPb2Cl7. The powder XRD pattern is computed, not measured: it uses a DFT-relaxed cell (PBE, Alexandria) and copper Kα.
No peak broadening, texture or thermal motion is included.

Largest 6 diffraction maxima, by angle, 15 to 90 degrees two-theta:
2θ (°)	intensity
19.85	100
22.88	34
25.19	54
32.57	65
38.44	39
45.58	44

Atomic structure:
```
11
Lattice="-2.749 2.749 11.539 2.749 -2.749 11.539 2.749 2.749 -11.539" Properties=species:S:1:pos:R:3 pbc="T T T"
Tl 0.000 0.000 0.000
Ag 0.000 2.749 5.770
Pb 0.000 0.000 8.689
Pb 0.000 0.000 14.389
Cl 2.749 0.000 2.264
Cl 0.000 0.000 5.880
Cl 2.749 0.000 9.275
Cl 0.000 0.000 11.539
Cl 0.000 2.749 2.879
Cl 0.000 0.000 17.198
Cl 0.000 2.749 8.660
```

***

Diffraction record for HoCuPd4. The powder XRD pattern is computed, not measured: it uses a DFT-relaxed cell (PBE, Alexandria) and copper Kα.
No peak broadening, texture or thermal motion is included.

Largest 6 diffraction maxima, by angle, 15 to 90 degrees two-theta:
2θ (°)	intensity
34.05	25
36.08	100
37.20	25
39.90	67
41.53	70
43.49	61

Atomic structure:
```
12
Lattice="2.259 -9.285 0.000 2.259 9.285 0.000 0.000 0.000 5.007" Properties=species:S:1:pos:R:3 pbc="T T T"
Ho 2.259 6.783 2.503
Ho 2.259 -6.783 0.000
Cu 2.259 1.768 1.592
Cu 2.259 -1.768 4.095
Pd 2.259 8.521 4.999
Pd 2.259 4.321 0.939
Pd 2.259 3.400 3.435
Pd 2.259 0.741 4.137
Pd 2.259 -0.741 1.633
Pd 2.259 -3.400 0.931
Pd 2.259 -4.321 3.443
Pd 2.259 -8.521 2.496
```

***

Diffraction record for Tb2Pm3Tl. The powder XRD pattern is computed, not measured: it uses a DFT-relaxed cell (PBE, Alexandria) and copper Kα.
No peak broadening, texture or thermal motion is included.

Largest 6 diffraction maxima, by angle, 15 to 90 degrees two-theta:
2θ (°)	intensity
30.97	100
35.06	18
36.20	17
36.45	16
60.36	15
61.88	14

Atomic structure:
```
6
Lattice="2.481 -7.679 0.000 2.481 7.679 0.000 0.000 0.000 4.929" Properties=species:S:1:pos:R:3 pbc="T T T"
Tb 2.481 5.179 0.000
Tb 2.481 -5.179 0.000
Pm 0.000 0.000 2.465
Pm 2.481 2.591 2.465
Pm 2.481 -2.591 2.465
Tl 2.481 0.000 0.000
```